No. 1
For Ru2Pt4Rh3, a DFT-relaxed cell (PBE, Alexandria) gives the computed XRD peak list in this record (Cu Ka).

Largest 12 diffraction maxima, by intensity, 10 to 80 degrees two-theta:
40.1 deg, I 100; 46.8 deg, I 32; 46.3 deg, I 16; 68.0 deg, I 10; 68.4 deg, I 10; 67.9 deg, I 10; 33.5 deg, I 4; 27.3 deg, I 2; 15.1 deg, I 2; 30.4 deg, I 2; 18.3 deg, I 2; 65.1 deg, I 2

Structure:
a = 6.1413 Å, b = 6.1413 Å, c = 6.1916 Å
α = 107.28°, β = 107.28°, γ = 36.81°
Fractional positions:
Ru: 0.1713 0.1713 0.4965
Ru: 0.8287 0.8287 0.5035
Pt: 0.0525 0.0525 0.8251
Pt: 0.2787 0.2787 0.1746
Pt: 0.7213 0.7213 0.8254
Pt: 0.9475 0.9475 0.1749
Rh: 0.3866 0.3866 0.8222
Rh: 0.5000 0.5000 0.5000
Rh: 0.6133 0.6133 0.1778


No. 2
For RuPt8Rh6, a DFT-relaxed cell (PBE, Alexandria) gives the computed XRD peak list in this record (Cu Ka).

Largest 12 diffraction maxima, by intensity, 10 to 80 degrees two-theta:
39.9 deg, I 100; 41.1 deg, I 98; 41.8 deg, I 64; 40.5 deg, I 50; 48.5 deg, I 25; 71.8 deg, I 19; 26.1 deg, I 17; 74.7 deg, I 14; 16.1 deg, I 13; 68.8 deg, I 12; 74.1 deg, I 12; 74.0 deg, I 12

Structure:
a = 6.8221 Å, b = 6.8221 Å, c = 6.8221 Å
α = 61.34°, β = 61.34°, γ = 61.34°
Fractional positions:
Ru: 0.0000 0.0000 0.0000
Pt: 0.1159 0.6643 0.8173
Pt: 0.1827 0.8841 0.3357
Pt: 0.3357 0.1827 0.8841
Pt: 0.4182 0.4182 0.4182
Pt: 0.5818 0.5818 0.5818
Pt: 0.6643 0.8173 0.1159
Pt: 0.8173 0.1159 0.6643
Pt: 0.8841 0.3357 0.1827
Rh: 0.0546 0.5558 0.2759
Rh: 0.2759 0.0546 0.5558
Rh: 0.4442 0.7241 0.9454
Rh: 0.5558 0.2759 0.0546
Rh: 0.7241 0.9454 0.4442
Rh: 0.9454 0.4442 0.7241


No. 3
For RuPt4Rh2, a DFT-relaxed cell (PBE, Alexandria) gives the computed XRD peak list in this record (Cu Ka).

Largest 12 diffraction maxima, by intensity, 10 to 80 degrees two-theta:
36.9 deg, I 100; 44.0 deg, I 88; 44.2 deg, I 55; 37.2 deg, I 44; 58.8 deg, I 31; 28.4 deg, I 29; 76.2 deg, I 19; 28.5 deg, I 14; 61.3 deg, I 13; 78.5 deg, I 10; 59.1 deg, I 10; 61.5 deg, I 8

Structure:
a = 6.6558 Å, b = 6.6558 Å, c = 6.6558 Å
α = 109.23°, β = 109.23°, γ = 109.96°
Fractional positions:
Ru: 0.0000 0.0000 0.0000
Ru: 0.7500 0.2500 0.5000
Pt: 0.1137 0.3681 0.9122
Pt: 0.1181 0.3637 0.4122
Pt: 0.2941 0.8819 0.2455
Pt: 0.4559 0.2014 0.0878
Pt: 0.6319 0.5441 0.7455
Pt: 0.6363 0.0486 0.7545
Pt: 0.7986 0.8863 0.2545
Pt: 0.9514 0.7059 0.5878
Rh: 0.2582 0.1250 0.6332
Rh: 0.3750 0.7418 0.8668
Rh: 0.4918 0.6250 0.3668
Rh: 0.8750 0.5082 0.1332